Structure and calculated XRD peak list of NaMn2AsO4 (a DFT-relaxed cell (PBE+U, Alexandria); copper Kα).
No peak broadening, texture or thermal motion is included.

Cell and atoms:
```
data_NaMn2AsO4
_cell_length_a 7.0302
_cell_length_b 7.1079
_cell_length_c 9.5744
_cell_angle_alpha 90.00
_cell_angle_beta 90.00
_cell_angle_gamma 90.00
_symmetry_space_group_name_H-M 'F m m 2'
_symmetry_Int_Tables_number 42
_symmetry_space_group_name_Hall 'F 2 -2'
loop_
_atom_site_label
_atom_site_fract_x
_atom_site_fract_y
_atom_site_fract_z
Na1 0.0000 0.0000 0.0000
Mn1 0.2500 0.2500 0.2506
As1 0.0000 0.0000 0.5010
O1 0.0000 0.2279 0.3681
O2 0.2221 0.0000 0.6324
```

Peak list (10 most intense, 2θ = 10–80°, by intensity)
(0 2 2), 2θ 31.35, I 100
(2 0 2), 2θ 31.58, I 97
(2 2 4), 2θ 52.97, I 60
(1 1 1), 2θ 20.04, I 44
(2 2 0), 2θ 35.93, I 31
(2 4 2), 2θ 61.61, I 25
(4 2 2), 2θ 62.02, I 24
(0 4 0), 2θ 51.42, I 17
(4 0 0), 2θ 52.03, I 16
(0 0 4), 2θ 37.58, I 13